# CdSn2Pb7
Calculated PXRD pattern, Cu Ka. Input: a PBE-relaxed structure.
Intensities are scaled so that the largest is 100.

Most intense lines, 2θ = 10–80°, by angle:
| 2θ (°) | I (rel.) | index |
| --- | --- | --- |
| 25.21 | 54.3 | 2 4 0 |
| 32.13 | 53.1 | 2 0 1 |
| 32.27 | 79.9 | 2 6 0 |
| 36.05 | 100.0 | 4 0 0 |
| 38.39 | 55.5 | 3 1 1 |
| 58.59 | 41.1 | 5 5 1 |

Atomic structure:
```
data_CdSn2Pb7
_chemical_formula_sum 'Cd2 Sn4 Pb14'
_symmetry_space_group_name_H-M 'C m m m'
_symmetry_Int_Tables_number 65
_symmetry_space_group_name_Hall '-C 2 2'
_cell_length_a 9.9644
_cell_length_b 20.0358
_cell_length_c 3.3561
_cell_angle_alpha 90.00
_cell_angle_beta 90.00
_cell_angle_gamma 90.00
loop_
_atom_site_label
_atom_site_type_symbol
_atom_site_fract_x
_atom_site_fract_y
_atom_site_fract_z
Cd1 Cd 0.0000 0.0000 0.0000
Sn1 Sn 0.0000 0.3365 0.5000
Pb1 Pb 0.0000 0.1985 0.0000
Pb2 Pb 0.0000 0.5000 0.5000
Pb3 Pb 0.2126 0.0952 0.5000
```

# CdSn2Pb4
Calculated PXRD pattern, Cu Ka. Input: a PBE-relaxed structure.
Intensities are scaled so that the largest is 100.

Most intense lines, 2θ = 10–80°, by angle:
| 2θ (°) | I (rel.) | index |
| --- | --- | --- |
| 29.80 | 14.9 | 2 1 1 |
| 32.61 | 100.0 | 2 2 0 |
| 33.76 | 19.0 | 0 3 1 |
| 35.52 | 44.6 | 2 0 2 |
| 56.51 | 13.7 | 2 3 3 |
| 61.87 | 15.1 | 4 2 2 |

Atomic structure:
```
data_CdSn2Pb4
_chemical_formula_sum 'Cd2 Sn4 Pb8'
_symmetry_space_group_name_H-M 'I m m 2'
_symmetry_Int_Tables_number 44
_symmetry_space_group_name_Hall 'I 2 -2'
_cell_length_a 7.1651
_cell_length_b 8.5818
_cell_length_c 7.1300
_cell_angle_alpha 90.00
_cell_angle_beta 90.00
_cell_angle_gamma 90.00
loop_
_atom_site_label
_atom_site_type_symbol
_atom_site_fract_x
_atom_site_fract_y
_atom_site_fract_z
Cd1 Cd 0.0000 0.0000 0.0000
Sn1 Sn 0.0000 0.0000 0.5720
Sn2 Sn 0.0000 0.5000 0.0988
Pb1 Pb 0.2433 0.2887 0.7755
```

# Cd2SnPb2
Calculated PXRD pattern, Cu Ka. Input: a PBE-relaxed structure.
Intensities are scaled so that the largest is 100.

Most intense lines, 2θ = 10–80°, by angle:
| 2θ (°) | I (rel.) | index |
| --- | --- | --- |
| 32.06 | 100.0 | 1 0 2 |
| 32.42 | 93.2 | 1 1 0 |
| 32.57 | 86.7 | 1 1 -1 |
| 32.82 | 93.3 | 1 0 -3 |
| 34.33 | 92.7 | 0 1 2 |
| 35.89 | 89.8 | 2 0 -1 |

Atomic structure:
```
data_Cd2SnPb2
_chemical_formula_sum 'Cd2 Sn1 Pb2'
_symmetry_space_group_name_H-M 'P 1 2/m 1'
_symmetry_Int_Tables_number 10
_symmetry_space_group_name_Hall '-P 2y'
_cell_length_a 5.0048
_cell_length_b 3.3692
_cell_length_c 8.5844
_cell_angle_alpha 90.00
_cell_angle_beta 105.53
_cell_angle_gamma 90.00
loop_
_atom_site_label
_atom_site_type_symbol
_atom_site_fract_x
_atom_site_fract_y
_atom_site_fract_z
Cd1 Cd 0.1991 0.0000 0.4005
Sn1 Sn 0.0000 0.0000 0.0000
Pb1 Pb 0.3964 0.5000 0.7865
```

# Cd12SnPb16
Calculated PXRD pattern, Cu Ka. Input: a PBE-relaxed structure.
Intensities are scaled so that the largest is 100.

Most intense lines, 2θ = 10–80°, by angle:
| 2θ (°) | I (rel.) | index |
| --- | --- | --- |
| 31.89 | 22.2 | 4 0 -1 |
| 32.05 | 100.0 | 3 3 0 |
| 32.21 | 90.3 | 0 0 3 |
| 32.31 | 36.9 | 1 3 -3 |
| 32.50 | 74.5 | 1 5 -2 |
| 35.87 | 25.7 | 3 5 -1 |

Atomic structure:
```
data_Cd12SnPb16
_chemical_formula_sum 'Cd24 Sn2 Pb32'
_symmetry_space_group_name_H-M 'C 1 m 1'
_symmetry_Int_Tables_number 8
_symmetry_space_group_name_Hall 'C -2y'
_cell_length_a 11.8919
_cell_length_b 16.4505
_cell_length_c 10.2211
_cell_angle_alpha 90.00
_cell_angle_beta 125.20
_cell_angle_gamma 90.00
loop_
_atom_site_label
_atom_site_type_symbol
_atom_site_fract_x
_atom_site_fract_y
_atom_site_fract_z
Cd1 Cd 0.0000 0.0000 0.0000
Cd2 Cd 0.0438 0.3126 0.3511
Cd3 Cd 0.0954 0.0939 0.8180
Cd4 Cd 0.1338 0.4059 0.1611
Cd5 Cd 0.1886 0.0000 0.3700
Cd6 Cd 0.3638 0.1929 0.9841
Cd7 Cd 0.4636 0.0940 0.5420
Sn1 Sn 0.4926 0.5000 0.4874
Pb1 Pb 0.0710 0.2931 0.8604
Pb2 Pb 0.1661 0.5000 0.8877
Pb3 Pb 0.1952 0.1705 0.1847
Pb4 Pb 0.2152 0.1610 0.5812
Pb5 Pb 0.2177 0.5000 0.4880
Pb6 Pb 0.2998 0.3529 0.7624
Pb7 Pb 0.3532 0.0000 0.8289
Pb8 Pb 0.3675 0.0000 0.1772
Pb9 Pb 0.3822 0.3057 0.4856
Pb10 Pb 0.4123 0.3690 0.1773
```

# CdSn2Pb
Calculated PXRD pattern, Cu Ka. Input: a PBE-relaxed structure.
Intensities are scaled so that the largest is 100.

Most intense lines, 2θ = 10–80°, by angle:
| 2θ (°) | I (rel.) | index |
| --- | --- | --- |
| 32.22 | 100.0 | 0 1 2 |
| 32.38 | 99.4 | 2 1 0 |
| 35.84 | 38.6 | 0 2 0 |
| 36.27 | 35.4 | 2 0 -2 |
| 40.15 | 27.7 | 2 0 2 |
| 62.19 | 31.1 | 2 3 0 |

Atomic structure:
```
data_CdSn2Pb
_chemical_formula_sum 'Cd2 Sn4 Pb2'
_symmetry_space_group_name_H-M 'P 1 21/m 1'
_symmetry_Int_Tables_number 11
_symmetry_space_group_name_Hall '-P 2yb'
_cell_length_a 6.6639
_cell_length_b 5.0104
_cell_length_c 6.7091
_cell_angle_alpha 90.00
_cell_angle_beta 95.60
_cell_angle_gamma 90.00
loop_
_atom_site_label
_atom_site_type_symbol
_atom_site_fract_x
_atom_site_fract_y
_atom_site_fract_z
Cd1 Cd 0.1261 0.2500 0.1106
Sn1 Sn 0.1264 0.2500 0.6054
Sn2 Sn 0.3644 0.7500 0.3809
Pb1 Pb 0.3604 0.7500 0.8801
```

# CdSnPb14
Calculated PXRD pattern, Cu Ka. Input: a PBE-relaxed structure.
Intensities are scaled so that the largest is 100.

Most intense lines, 2θ = 10–80°, by angle:
| 2θ (°) | I (rel.) | index |
| --- | --- | --- |
| 31.11 | 100.0 | 2 2 2 |
| 35.23 | 18.2 | 0 4 0 |
| 36.20 | 16.8 | 0 0 4 |
| 36.80 | 16.2 | 4 0 0 |
| 60.67 | 15.5 | 2 6 2 |
| 61.96 | 14.4 | 2 2 6 |

Atomic structure:
```
data_CdSnPb14
_chemical_formula_sum 'Cd2 Sn2 Pb28'
_symmetry_space_group_name_H-M 'C m m m'
_symmetry_Int_Tables_number 65
_symmetry_space_group_name_Hall '-C 2 2'
_cell_length_a 9.7697
_cell_length_b 10.1909
_cell_length_c 9.9261
_cell_angle_alpha 90.00
_cell_angle_beta 90.00
_cell_angle_gamma 90.00
loop_
_atom_site_label
_atom_site_type_symbol
_atom_site_fract_x
_atom_site_fract_y
_atom_site_fract_z
Cd1 Cd 0.0000 0.0000 0.0000
Sn1 Sn 0.0000 0.5000 0.0000
Pb1 Pb 0.0000 0.0000 0.5000
Pb2 Pb 0.0000 0.2490 0.2469
Pb3 Pb 0.0000 0.5000 0.5000
Pb4 Pb 0.2488 0.0000 0.2441
Pb5 Pb 0.2500 0.2500 0.0000
Pb6 Pb 0.2500 0.2500 0.5000
```

# Cd2SnPb2
Calculated PXRD pattern, Cu Ka. Input: a PBE-relaxed structure.
Intensities are scaled so that the largest is 100.

Most intense lines, 2θ = 10–80°, by angle:
| 2θ (°) | I (rel.) | index |
| --- | --- | --- |
| 22.12 | 45.0 | 1 0 1 |
| 32.36 | 94.1 | 1 1 2 |
| 33.93 | 100.0 | 1 0 5 |
| 37.21 | 51.8 | 1 1 4 |
| 43.81 | 50.9 | 2 0 0 |
| 56.54 | 47.9 | 2 1 5 |

Atomic structure:
```
data_Cd2SnPb2
_chemical_formula_sum 'Cd4 Sn2 Pb4'
_symmetry_space_group_name_H-M 'I 4/m m m'
_symmetry_Int_Tables_number 139
_symmetry_space_group_name_Hall '-I 4 2'
_cell_length_a 4.1330
_cell_length_b 4.1330
_cell_length_c 17.1821
_cell_angle_alpha 90.00
_cell_angle_beta 90.00
_cell_angle_gamma 90.00
loop_
_atom_site_label
_atom_site_type_symbol
_atom_site_fract_x
_atom_site_fract_y
_atom_site_fract_z
Cd1 Cd 0.0000 0.5000 0.2500
Sn1 Sn 0.0000 0.0000 0.0000
Pb1 Pb 0.0000 0.0000 0.4011
```

# CdSn2Pb
Calculated PXRD pattern, Cu Ka. Input: a PBE-relaxed structure.
Intensities are scaled so that the largest is 100.

Most intense lines, 2θ = 10–80°, by angle:
| 2θ (°) | I (rel.) | index |
| --- | --- | --- |
| 31.82 | 53.7 | 2 0 -2 |
| 32.29 | 50.6 | 4 0 0 |
| 32.63 | 100.0 | 1 1 1 |
| 36.37 | 75.3 | 3 1 -1 |
| 39.75 | 28.8 | 2 0 2 |
| 54.66 | 23.4 | 1 1 -3 |

Atomic structure:
```
data_CdSn2Pb
_chemical_formula_sum 'Cd2 Sn4 Pb2'
_symmetry_space_group_name_H-M 'C 1 2/m 1'
_symmetry_Int_Tables_number 12
_symmetry_space_group_name_Hall '-C 2y'
_cell_length_a 11.4955
_cell_length_b 3.4461
_cell_length_c 5.7972
_cell_angle_alpha 90.00
_cell_angle_beta 105.28
_cell_angle_gamma 90.00
loop_
_atom_site_label
_atom_site_type_symbol
_atom_site_fract_x
_atom_site_fract_y
_atom_site_fract_z
Cd1 Cd 0.0000 0.0000 0.0000
Sn1 Sn 0.2410 0.5000 0.2388
Pb1 Pb 0.0000 0.5000 0.5000
```

# CdSn6Pb12
Calculated PXRD pattern, Cu Ka. Input: a PBE-relaxed structure.
Intensities are scaled so that the largest is 100.

Most intense lines, 2θ = 10–80°, by angle:
| 2θ (°) | I (rel.) | index |
| --- | --- | --- |
| 21.57 | 20.6 | 3 -1 1 |
| 24.48 | 63.8 | 1 2 2 |
| 33.84 | 100.0 | 3 -1 4 |
| 35.92 | 82.3 | 4 1 0 |
| 50.18 | 27.0 | 2 4 4 |
| 63.24 | 25.0 | 8 -5 4 |

Atomic structure:
```
data_CdSn6Pb12
_chemical_formula_sum 'Cd3 Sn18 Pb36'
_symmetry_space_group_name_H-M 'R -3'
_symmetry_Int_Tables_number 148
_symmetry_space_group_name_Hall '-R 3'
_cell_length_a 13.2296
_cell_length_b 13.2296
_cell_length_c 13.3939
_cell_angle_alpha 90.00
_cell_angle_beta 90.00
_cell_angle_gamma 120.00
loop_
_atom_site_label
_atom_site_type_symbol
_atom_site_fract_x
_atom_site_fract_y
_atom_site_fract_z
Cd1 Cd 0.0000 0.0000 0.0000
Sn1 Sn 0.0450 0.8318 0.6896
Pb1 Pb 0.0323 0.7940 0.9277
Pb2 Pb 0.0505 0.8108 0.4288
```

# Cd2Sn2Pb7
Calculated PXRD pattern, Cu Ka. Input: a PBE-relaxed structure.
Intensities are scaled so that the largest is 100.

Most intense lines, 2θ = 10–80°, by angle:
| 2θ (°) | I (rel.) | index |
| --- | --- | --- |
| 29.48 | 44.6 | 1 1 2 |
| 31.23 | 66.2 | 3 1 -1 |
| 32.26 | 100.0 | 2 2 1 |
| 32.43 | 81.2 | 2 2 -2 |
| 33.05 | 43.3 | 1 3 1 |
| 35.18 | 39.1 | 0 0 3 |

Atomic structure:
```
data_Cd2Sn2Pb7
_chemical_formula_sum 'Cd4 Sn4 Pb14'
_symmetry_space_group_name_H-M 'C 1 2/m 1'
_symmetry_Int_Tables_number 12
_symmetry_space_group_name_Hall '-C 2y'
_cell_length_a 9.0535
_cell_length_b 9.6066
_cell_length_c 7.9667
_cell_angle_alpha 90.00
_cell_angle_beta 106.05
_cell_angle_gamma 90.00
loop_
_atom_site_label
_atom_site_type_symbol
_atom_site_fract_x
_atom_site_fract_y
_atom_site_fract_z
Cd1 Cd 0.0000 0.2097 0.0000
Sn1 Sn 0.1078 0.0000 0.3151
Pb1 Pb 0.0000 0.5000 0.5000
Pb2 Pb 0.1715 0.5000 0.9448
Pb3 Pb 0.1821 0.1957 0.6786
```

# CdSn6Pb
Calculated PXRD pattern, Cu Ka. Input: a PBE-relaxed structure.
Intensities are scaled so that the largest is 100.

Most intense lines, 2θ = 10–80°, by angle:
| 2θ (°) | I (rel.) | index |
| --- | --- | --- |
| 31.91 | 44.6 | 0 4 0 |
| 32.50 | 100.0 | 2 2 0 |
| 32.70 | 51.8 | 3 1 -2 |
| 40.01 | 28.7 | 3 3 -2 |
| 43.61 | 22.6 | 0 2 2 |
| 68.55 | 21.1 | 6 2 -4 |

Atomic structure:
```
data_CdSn6Pb
_chemical_formula_sum 'Cd2 Sn12 Pb2'
_symmetry_space_group_name_H-M 'C 1 2/m 1'
_symmetry_Int_Tables_number 12
_symmetry_space_group_name_Hall '-C 2y'
_cell_length_a 8.9298
_cell_length_b 11.2186
_cell_length_c 6.3092
_cell_angle_alpha 90.00
_cell_angle_beta 134.86
_cell_angle_gamma 90.00
loop_
_atom_site_label
_atom_site_type_symbol
_atom_site_fract_x
_atom_site_fract_y
_atom_site_fract_z
Cd1 Cd 0.0000 0.0000 0.0000
Sn1 Sn 0.0027 0.5000 0.7521
Sn2 Sn 0.2485 0.2403 0.2487
Pb1 Pb 0.0000 0.0000 0.5000
```

# SrCdSnPb
Calculated PXRD pattern, Cu Ka. Input: a PBE-relaxed structure.
Intensities are scaled so that the largest is 100.

Most intense lines, 2θ = 10–80°, by angle:
| 2θ (°) | I (rel.) | index |
| --- | --- | --- |
| 31.70 | 100.0 | 1 1 1 |
| 36.36 | 34.8 | 0 2 0 |
| 37.58 | 15.9 | 2 0 0 |
| 53.29 | 23.3 | 2 2 0 |
| 62.52 | 28.8 | 1 3 1 |
| 64.17 | 13.4 | 3 1 1 |

Atomic structure:
```
data_SrCdSnPb
_chemical_formula_sum 'Sr1 Cd1 Sn1 Pb1'
_symmetry_space_group_name_H-M 'P m m m'
_symmetry_Int_Tables_number 47
_symmetry_space_group_name_Hall '-P 2 2'
_cell_length_a 4.7862
_cell_length_b 4.9404
_cell_length_c 4.9432
_cell_angle_alpha 90.00
_cell_angle_beta 90.00
_cell_angle_gamma 90.00
loop_
_atom_site_label
_atom_site_type_symbol
_atom_site_fract_x
_atom_site_fract_y
_atom_site_fract_z
Sr1 Sr 0.0000 0.0000 0.0000
Cd1 Cd 0.0000 0.5000 0.5000
Sn1 Sn 0.5000 0.5000 0.0000
Pb1 Pb 0.5000 0.0000 0.5000
```

Please write out number 9 again, unchanged.
# CdSn6Pb12
Calculated PXRD pattern, Cu Ka. Input: a PBE-relaxed structure.
Intensities are scaled so that the largest is 100.

Most intense lines, 2θ = 10–80°, by angle:
| 2θ (°) | I (rel.) | index |
| --- | --- | --- |
| 21.57 | 20.6 | 3 -1 1 |
| 24.48 | 63.8 | 1 2 2 |
| 33.84 | 100.0 | 3 -1 4 |
| 35.92 | 82.3 | 4 1 0 |
| 50.18 | 27.0 | 2 4 4 |
| 63.24 | 25.0 | 8 -5 4 |

Atomic structure:
```
data_CdSn6Pb12
_chemical_formula_sum 'Cd3 Sn18 Pb36'
_symmetry_space_group_name_H-M 'R -3'
_symmetry_Int_Tables_number 148
_symmetry_space_group_name_Hall '-R 3'
_cell_length_a 13.2296
_cell_length_b 13.2296
_cell_length_c 13.3939
_cell_angle_alpha 90.00
_cell_angle_beta 90.00
_cell_angle_gamma 120.00
loop_
_atom_site_label
_atom_site_type_symbol
_atom_site_fract_x
_atom_site_fract_y
_atom_site_fract_z
Cd1 Cd 0.0000 0.0000 0.0000
Sn1 Sn 0.0450 0.8318 0.6896
Pb1 Pb 0.0323 0.7940 0.9277
Pb2 Pb 0.0505 0.8108 0.4288
```